Record 1
The following is a theoretical XRD peak list of Na3Tl3Hg4. It was derived from DFT lattice parameters and positions (PBE), using a wavelength of 1.5418 Å.
Lines closer than 0.1° are merged.

Structural model:
```
data_Na3Tl3Hg4
_cell_length_a 3.6230
_cell_length_b 12.4441
_cell_length_c 12.3980
_cell_angle_alpha 90.00
_cell_angle_beta 90.00
_cell_angle_gamma 90.00
_space_group_name_H-M_alt 'A m m 2'
_space_group_IT_number 38
loop_
_space_group_symop_operation_xyz
'x,y,z'
'-x,-y,z'
'-x,y,z'
'x,-y,z'
'x,y+1/2,z+1/2'
'-x,-y+1/2,z+1/2'
'-x,y+1/2,z+1/2'
'x,-y+1/2,z+1/2'
loop_
_atom_site_label
_atom_site_type_symbol
_atom_site_fract_x
_atom_site_fract_y
_atom_site_fract_z
_atom_site_occupancy
Na1 Na 0.0000 0.0000 0.0000 1
Na2 Na 0.0000 0.1688 0.3345 1
Tl1 Tl 0.0000 0.0000 0.6625 1
Tl2 Tl 0.5000 0.2502 0.0885 1
Hg1 Hg 0.5000 0.0000 0.1993 1
Hg2 Hg 0.5000 0.0000 0.4537 1
Hg3 Hg 0.5000 0.1324 0.8384 1
```

Principal peaks in the range 2θ = 10–90°, in order of falling intensity:
| d/Å | I (rel.) | h k l |
| --- | --- | --- |
| 2.663 | 100 | 1 1 3 |
| 2.777 | 83 | 0 4 2 |
| 2.204 | 46 | 1 2 4 |
| 3.623 | 38 | 1 0 0 |
| 3.930 | 33 | 0 3 1 |
| 1.555 | 29 | 0 8 0 |
| 1.517 | 27 | 2 4 2 |
| 2.795 | 25 | 1 2 2 |
| 8.783 | 15 | 0 1 1 |
| 1.812 | 14 | 2 0 0 |
| 2.432 | 13 | 0 1 5 |
| 2.024 | 13 | 1 5 1 |



Record 2
The following is a theoretical XRD peak list of Na3Ca2Cl7. It was derived from DFT lattice parameters and positions (PBE), using a wavelength of 1.5418 Å.
Lines closer than 0.1° are merged.

Structural model:
```
data_Na3Ca2Cl7
_cell_length_a 24.4808
_cell_length_b 7.0585
_cell_length_c 7.3719
_cell_angle_alpha 90.00
_cell_angle_beta 90.00
_cell_angle_gamma 90.00
_space_group_name_H-M_alt 'C m c 21'
_space_group_IT_number 36
loop_
_space_group_symop_operation_xyz
'x,y,z'
'-x,-y,z+1/2'
'-x,y,z'
'x,-y,z+1/2'
'x+1/2,y+1/2,z'
'-x+1/2,-y+1/2,z+1/2'
'-x+1/2,y+1/2,z'
'x+1/2,-y+1/2,z+1/2'
loop_
_atom_site_label
_atom_site_type_symbol
_atom_site_fract_x
_atom_site_fract_y
_atom_site_fract_z
_atom_site_occupancy
Na1 Na 0.0000 0.2481 0.0000 1
Na2 Na 0.1955 0.2499 0.1404 1
Ca1 Ca 0.1056 0.2541 0.5582 1
Cl1 Cl 0.0000 0.1244 0.6311 1
Cl2 Cl 0.0769 0.4162 0.2307 1
Cl3 Cl 0.1364 0.0614 0.8637 1
Cl4 Cl 0.2078 0.3881 0.4968 1
```

Principal peaks in the range 2θ = 10–90°, in order of falling intensity:
| d/Å | I (rel.) | h k l |
| --- | --- | --- |
| 2.038 | 100 | 5 3 1 |
| 3.134 | 83 | 7 1 0 |
| 3.183 | 46 | 0 2 1 |
| 3.081 | 45 | 2 2 1 |
| 3.531 | 41 | 2 0 2 |
| 2.884 | 37 | 7 1 1 |
| 2.549 | 36 | 0 2 2 |
| 2.718 | 35 | 5 1 2 |
| 2.232 | 33 | 3 1 3 |
| 3.033 | 33 | 3 1 2 |
| 4.991 | 26 | 1 1 1 |
| 2.354 | 24 | 4 2 2 |



Record 3
The following is a theoretical XRD peak list of SiTe6Pb4. It was derived from DFT lattice parameters and positions (PBE), using a wavelength of 1.5418 Å.
Lines closer than 0.1° are merged.

Structural model:
```
data_SiTe6Pb4
_cell_length_a 17.1542
_cell_length_b 8.1094
_cell_length_c 14.7941
_cell_angle_alpha 90.00
_cell_angle_beta 119.82
_cell_angle_gamma 90.00
_space_group_name_H-M_alt 'C 1 c 1'
_space_group_IT_number 9
loop_
_space_group_symop_operation_xyz
'x,y,z'
'x,-y,z+1/2'
'x+1/2,y+1/2,z'
'x+1/2,-y+1/2,z+1/2'
loop_
_atom_site_label
_atom_site_type_symbol
_atom_site_fract_x
_atom_site_fract_y
_atom_site_fract_z
_atom_site_occupancy
Si1 Si 0.0000 0.2278 0.0000 1
Te1 Te 0.1212 0.2163 0.3834 1
Te2 Te 0.1632 0.2569 0.0385 1
Te3 Te 0.2441 0.2244 0.7578 1
Te4 Te 0.4030 0.2280 0.3054 1
Te5 Te 0.4430 0.4730 0.0472 1
Te6 Te 0.4883 0.0391 0.6076 1
Pb1 Pb 0.0753 0.1260 0.7817 1
Pb2 Pb 0.2127 0.3958 0.2599 1
Pb3 Pb 0.2707 0.0711 0.5850 1
Pb4 Pb 0.4520 0.1741 0.9131 1
```

Principal peaks in the range 2θ = 10–90°, in order of falling intensity:
| d/Å | I (rel.) | h k l |
| --- | --- | --- |
| 4.523 | 100 | 3 1 -2 |
| 3.866 | 69 | 0 2 1 |
| 3.231 | 55 | 1 1 -4 |
| 3.333 | 53 | 1 1 3 |
| 2.326 | 52 | 6 2 -2 |
| 2.354 | 48 | 1 3 -3 |
| 4.272 | 44 | 4 0 -2 |
| 3.428 | 44 | 0 2 2 |
| 2.836 | 41 | 6 0 -2 |
| 2.499 | 36 | 5 1 1 |
| 3.485 | 36 | 2 2 -2 |
| 2.585 | 35 | 5 1 -5 |



Record 4
The following is a theoretical XRD peak list of TbNd2Y12. It was derived from DFT lattice parameters and positions (PBE), using a wavelength of 1.5418 Å.
Lines closer than 0.1° are merged.

Structural model:
```
data_TbNd2Y12
_cell_length_a 7.0894
_cell_length_b 11.4152
_cell_length_c 24.9183
_cell_angle_alpha 90.00
_cell_angle_beta 90.00
_cell_angle_gamma 90.00
_space_group_name_H-M_alt 'C m m e'
_space_group_IT_number 67
_space_group_name_Hall '-C 2a 2'
loop_
_atom_site_label
_atom_site_type_symbol
_atom_site_fract_x
_atom_site_fract_y
_atom_site_fract_z
_atom_site_occupancy
Tb1 Tb 0.0000 0.2500 0.9999 1
Nd1 Nd 0.0000 0.2500 0.2650 1
Nd2 Nd 0.0000 0.2500 0.7301 1
Y1 Y 0.0000 0.0005 0.0766 1
Y2 Y 0.0000 0.0143 0.5607 1
Y3 Y 0.2387 0.2500 0.4153 1
Y4 Y 0.2500 0.0000 0.1984 1
Y5 Y 0.2500 0.0000 0.3274 1
Y6 Y 0.2505 0.2500 0.1260 1
```

Principal peaks in the range 2θ = 10–90°, in order of falling intensity:
| d/Å | I (rel.) | h k l |
| --- | --- | --- |
| 2.854 | 100 | 0 4 0 |
| 2.927 | 88 | 2 2 2 |
| 2.734 | 84 | 0 2 8 |
| 2.711 | 80 | 2 2 4 |
| 3.020 | 73 | 0 2 7 |
| 3.081 | 46 | 2 0 4 |
| 2.438 | 45 | 2 2 6 |
| 2.831 | 36 | 2 2 3 |
| 1.587 | 31 | 2 4 11 |
| 2.094 | 30 | 2 4 4 |
| 1.506 | 28 | 4 4 0 |
| 1.909 | 26 | 2 0 11 |